No. 1
# Na2SiAs2
Calculated powder X-ray diffraction pattern, Cu Kα. Input: DFT lattice parameters and positions (GGA-PBE).

Structure:
a = 6.620 Å, b = 11.766 Å, c = 6.343 Å
α = 90.00°, β = 90.00°, γ = 90.00°
Space group Ibam (No. 72)
Symmetry-distinct sites (fractional):
Na 0.149 0.139 0.000 x8
Si 0.000 0.500 0.250 x4
As 0.190 0.391 0.000 x8

Largest 6 diffraction maxima, by intensity, 2θ = 10–90°:
(hkl)  d (Å)  Rel. int.
1 2 1  3.614  100.0
2 1 1  2.847  55.1
0 4 2  2.157  54.3
0 0 2  3.172  52.6
1 1 0  5.769  47.6
2 3 1  2.350  41.1

---

No. 2
# NdFe12B6
Calculated powder X-ray diffraction pattern, Cu Kα. Input: DFT lattice parameters and positions (GGA-PBE).

Structure:
a = 9.5636 Å, b = 9.5636 Å, c = 7.4601 Å
α = 90.00°, β = 90.00°, γ = 120.00°
Space group R-3m (No. 166, hexagonal axes)
Symmetry-distinct sites (fractional):
Nd 0.0000 0.0000 0.0000 x3
Fe 0.0000 0.3694 0.5000 x18
Fe 0.0895 0.1789 0.3664 x18
B 0.0293 0.5146 0.2837 x18

Largest 6 diffraction maxima, by intensity, 2θ = 10–90°:
(hkl)  d (Å)  Rel. int.
1 3 1  2.195  100.0
1 1 3  2.206  55.5
2 0 2  2.772  38.2
3 0 0  2.761  30.4
3 1 2  1.956  22.2
3 0 3  1.848  20.7

---

No. 3
# Er6Ga2N
Calculated powder X-ray diffraction pattern, Cu Kα. Input: DFT lattice parameters and positions (GGA-PBE).

Structure:
a = 4.897 Å, b = 6.587 Å, c = 13.496 Å
α = 90.00°, β = 90.00°, γ = 90.00°
Space group Immm (No. 71)
Symmetry-distinct sites (fractional):
Er 0.000 0.236 0.000 x4
Er 0.000 0.256 0.347 x8
Ga 0.000 0.500 0.168 x4
N 0.000 0.500 0.500 x2

Largest 6 diffraction maxima, by intensity, 2θ = 10–90°:
(hkl)  d (Å)  Rel. int.
1 2 3  2.336  100.0
1 0 3  3.313  66.4
0 2 0  3.293  34.0
2 0 0  2.448  30.2
3 2 3  1.391  20.4
0 0 6  2.249  20.0

---

No. 4
# AcNiH
Calculated powder X-ray diffraction pattern, Cu Kα. Input: DFT lattice parameters and positions (GGA-PBE).

Structure:
a = 8.431 Å, b = 3.808 Å, c = 8.205 Å
α = 90.00°, β = 109.03°, γ = 90.00°
Space group C2/m (No. 12)
Symmetry-distinct sites (fractional):
Ac 0.076 0.000 0.263 x4
Ni 0.147 0.500 0.001 x4
H 0.166 0.000 0.006 x4

Largest 6 diffraction maxima, by intensity, 2θ = 10–90°:
(hkl)  d (Å)  Rel. int.
1 1 -2  2.772  100.0
3 1 -1  2.261  68.9
1 1 0  3.436  68.6
1 1 2  2.410  58.7
0 2 0  1.905  53.1
2 0 -1  4.135  49.5

---

No. 5
# CaPr3Bi4
Calculated powder X-ray diffraction pattern, Cu Kα. Input: DFT lattice parameters and positions (GGA-PBE).

Structure:
a = 6.559 Å, b = 6.559 Å, c = 6.559 Å
α = 90.00°, β = 90.00°, γ = 90.00°
Space group Pm-3m (No. 221)
Symmetry-distinct sites (fractional):
Ca 0.000 0.000 0.000 x1
Pr 0.000 0.500 0.500 x3
Bi 0.000 0.000 0.500 x3
Bi 0.500 0.500 0.500 x1

Largest 6 diffraction maxima, by intensity, 2θ = 10–90°:
(hkl)  d (Å)  Rel. int.
2 0 0  3.279  100.0
2 2 0  2.319  78.8
4 2 0  1.467  38.0
2 2 2  1.893  28.8
4 2 2  1.339  28.2
6 0 0  1.093  19.9

---

No. 6
# Mg2Ag2O5
Calculated powder X-ray diffraction pattern, Cu Kα. Input: DFT lattice parameters and positions (GGA-PBE).

Structure:
a = 4.387 Å, b = 12.543 Å, c = 4.022 Å
α = 90.00°, β = 90.00°, γ = 90.00°
Space group Pbam (No. 55)
Symmetry-distinct sites (fractional):
Mg 0.229 0.080 0.000 x4
Ag 0.245 0.349 0.500 x4
O 0.000 0.000 0.500 x2
O 0.213 0.408 0.000 x4
O 0.247 0.663 0.500 x4

Largest 6 diffraction maxima, by intensity, 2θ = 10–90°:
(hkl)  d (Å)  Rel. int.
1 2 1  2.680  100.0
1 2 0  3.595  81.6
0 0 1  4.022  68.0
0 4 0  3.136  51.1
0 6 1  1.855  40.7
2 0 0  2.194  36.6

---

No. 7
# LaTb2Ho12
Calculated powder X-ray diffraction pattern, Cu Kα. Input: DFT lattice parameters and positions (GGA-PBE).

Structure:
a = 6.379 Å, b = 6.379 Å, c = 25.045 Å
α = 90.00°, β = 90.00°, γ = 90.00°
Space group P4/nbm (No. 125, origin choice 2)
Symmetry-distinct sites (fractional):
La 0.250 0.750 0.000 x2
Tb 0.250 0.750 0.276 x4
Ho 0.067 0.567 0.120 x8
Ho 0.081 0.581 0.440 x8
Ho 0.250 0.250 0.218 x4
Ho 0.250 0.250 0.341 x4

Largest 6 diffraction maxima, by intensity, 2θ = 10–90°:
(hkl)  d (Å)  Rel. int.
1 1 7  2.803  100.0
2 0 4  2.839  81.0
2 1 3  2.699  77.3
2 0 2  3.091  68.5
2 0 3  2.979  59.0
2 1 6  2.355  56.4

---

No. 8
# Tc2Ni2Hg
Calculated powder X-ray diffraction pattern, Cu Kα. Input: DFT lattice parameters and positions (GGA-PBE).

Structure:
a = 3.554 Å, b = 3.554 Å, c = 12.099 Å
α = 90.00°, β = 90.00°, γ = 90.00°
Space group I4/mmm (No. 139)
Symmetry-distinct sites (fractional):
Tc 0.000 0.500 0.250 x4
Ni 0.000 0.000 0.098 x4
Hg 0.000 0.000 0.500 x2

Largest 6 diffraction maxima, by intensity, 2θ = 10–90°:
(hkl)  d (Å)  Rel. int.
1 1 2  2.321  100.0
1 0 3  2.666  41.4
1 0 5  2.000  35.3
2 0 0  1.777  31.2
0 0 4  3.025  23.6
3 1 2  1.105  19.3